For BeH8N2F4, DFT lattice parameters and positions (GGA-PBE) gives the calculated powder diffraction line list in this record (Cu Kα (weighted mean of Kα1 and Kα2)).
Intensities are scaled so that the largest is 100.

Structure:
```
data_BeH8N2F4
_cell_length_a 7.9893
_cell_length_b 5.8554
_cell_length_c 11.0549
_cell_angle_alpha 90.00
_cell_angle_beta 90.00
_cell_angle_gamma 90.00
_symmetry_space_group_name_H-M 'P 1'
_symmetry_Int_Tables_number 1
_symmetry_space_group_name_Hall 'P 1'
loop_
_atom_site_label
_atom_site_fract_x
_atom_site_fract_y
_atom_site_fract_z
Be1 0.0563 0.2500 0.1613
Be2 0.4437 0.7500 0.6613
Be3 0.5563 0.2500 0.3387
Be4 0.9437 0.7500 0.8387
H1 0.0023 0.7500 0.2195
H2 0.0114 0.2500 0.6267
H3 0.0461 0.7500 0.5848
H4 0.1559 0.1078 0.7062
H5 0.1559 0.3922 0.7062
H6 0.1580 0.6125 0.9685
H7 0.1580 0.8875 0.9685
H8 0.2408 0.7500 0.8531
H9 0.2592 0.2500 0.3531
H10 0.3420 0.1125 0.4685
H11 0.3420 0.3875 0.4685
H12 0.3441 0.6078 0.2062
H13 0.3441 0.8922 0.2062
H14 0.4539 0.2500 0.0848
H15 0.4886 0.7500 0.1267
H16 0.4977 0.2500 0.7195
H17 0.5023 0.7500 0.2805
H18 0.5114 0.2500 0.8733
H19 0.5461 0.7500 0.9152
H20 0.6559 0.1078 0.7938
H21 0.6559 0.3922 0.7938
H22 0.6580 0.6125 0.5315
H23 0.6580 0.8875 0.5315
H24 0.7408 0.7500 0.6469
H25 0.7592 0.2500 0.1469
H26 0.8420 0.1125 0.0315
H27 0.8420 0.3875 0.0315
H28 0.8441 0.6078 0.2938
H29 0.8441 0.8922 0.2938
H30 0.9539 0.2500 0.4152
H31 0.9886 0.7500 0.3733
H32 0.9977 0.2500 0.7805
N1 0.0797 0.2500 0.7085
N2 0.1411 0.7500 0.9115
N3 0.3589 0.2500 0.4115
N4 0.4203 0.7500 0.2085
N5 0.5797 0.2500 0.7915
N6 0.6411 0.7500 0.5885
N7 0.8589 0.2500 0.0885
N8 0.9203 0.7500 0.2915
F1 0.0203 0.2500 0.3036
F2 0.0888 0.7500 0.4983
F3 0.1501 0.0241 0.1363
F4 0.1501 0.4759 0.1363
F5 0.3499 0.5241 0.6363
F6 0.3499 0.9759 0.6363
F7 0.4112 0.2500 0.9983
F8 0.4797 0.7500 0.8036
F9 0.5203 0.2500 0.1964
F10 0.5888 0.7500 0.0017
F11 0.6501 0.0241 0.3637
F12 0.6501 0.4759 0.3637
F13 0.8499 0.5241 0.8637
F14 0.8499 0.9759 0.8637
F15 0.9112 0.2500 0.5017
F16 0.9797 0.7500 0.6964
```

Top 8 peaks for 5° ≤ 2θ ≤ 70°, low angle first:
two_theta, Rel. int.
17.1, 52
19.5, 58
31.6, 100
33.6, 46
36.5, 49
38.1, 38
39.0, 36
42.4, 37


For BeH8N2F4, DFT lattice parameters and positions (GGA-PBE) gives the calculated powder diffraction line list in this record (Cu Kα (weighted mean of Kα1 and Kα2)).
Intensities are scaled so that the largest is 100.

Structure:
```
data_BeH8N2F4
_cell_length_a 7.5137
_cell_length_b 6.1048
_cell_length_c 10.5820
_cell_angle_alpha 90.00
_cell_angle_beta 90.00
_cell_angle_gamma 90.00
_symmetry_space_group_name_H-M 'P 1'
_symmetry_Int_Tables_number 1
_symmetry_space_group_name_Hall 'P 1'
loop_
_atom_site_label
_atom_site_fract_x
_atom_site_fract_y
_atom_site_fract_z
Be1 0.2496 0.2500 0.0828
Be2 0.2504 0.7500 0.5828
Be3 0.7496 0.2500 0.4172
Be4 0.7504 0.7500 0.9172
H1 0.0029 0.2500 0.7149
H2 0.0796 0.2500 0.8639
H3 0.1138 0.6137 0.1746
H4 0.1138 0.8863 0.1746
H5 0.1166 0.2500 0.3308
H6 0.1679 0.7500 0.8853
H7 0.1697 0.1125 0.4634
H8 0.1697 0.3875 0.4634
H9 0.3303 0.6125 0.9634
H10 0.3303 0.8875 0.9634
H11 0.3321 0.2500 0.3853
H12 0.3834 0.7500 0.8308
H13 0.3862 0.1137 0.6746
H14 0.3862 0.3863 0.6746
H15 0.4204 0.7500 0.3639
H16 0.4971 0.7500 0.2149
H17 0.5029 0.2500 0.7851
H18 0.5796 0.2500 0.6361
H19 0.6138 0.6137 0.3254
H20 0.6138 0.8863 0.3254
H21 0.6166 0.2500 0.1692
H22 0.6679 0.7500 0.6147
H23 0.6697 0.1125 0.0366
H24 0.6697 0.3875 0.0366
H25 0.8303 0.6125 0.5366
H26 0.8303 0.8875 0.5366
H27 0.8321 0.2500 0.1147
H28 0.8834 0.7500 0.6692
H29 0.8862 0.1137 0.8254
H30 0.8862 0.3863 0.8254
H31 0.9204 0.7500 0.1361
H32 0.9971 0.7500 0.2851
N1 0.0353 0.7500 0.1921
N2 0.1959 0.2500 0.4096
N3 0.3041 0.7500 0.9096
N4 0.4647 0.2500 0.6921
N5 0.5353 0.7500 0.3079
N6 0.6959 0.2500 0.0904
N7 0.8041 0.7500 0.5904
N8 0.9647 0.2500 0.8079
F1 0.0450 0.2500 0.1140
F2 0.1713 0.5352 0.6390
F3 0.1713 0.9648 0.6390
F4 0.2183 0.7500 0.4370
F5 0.2817 0.2500 0.9370
F6 0.3287 0.0352 0.1390
F7 0.3287 0.4648 0.1390
F8 0.4550 0.7500 0.6140
F9 0.5450 0.2500 0.3860
F10 0.6713 0.5352 0.8610
F11 0.6713 0.9648 0.8610
F12 0.7183 0.7500 0.0630
F13 0.7817 0.2500 0.5630
F14 0.8287 0.0352 0.3610
F15 0.8287 0.4648 0.3610
F16 0.9550 0.7500 0.8860
```

Top 8 peaks for 5° ≤ 2θ ≤ 70°, low angle first:
two_theta, Rel. int.
20.5, 72
29.2, 63
29.3, 30
33.9, 55
36.0, 100
36.9, 56
39.0, 57
40.9, 30


For HoBeNF6, DFT lattice parameters and positions (GGA-PBE) gives the calculated powder diffraction line list in this record (Cu Kα (weighted mean of Kα1 and Kα2)).
Intensities are scaled so that the largest is 100.

Structure:
```
data_HoBeNF6
_cell_length_a 6.5471
_cell_length_b 6.0070
_cell_length_c 7.3506
_cell_angle_alpha 90.00
_cell_angle_beta 110.27
_cell_angle_gamma 90.00
_symmetry_space_group_name_H-M 'P 1'
_symmetry_Int_Tables_number 1
_symmetry_space_group_name_Hall 'P 1'
loop_
_atom_site_label
_atom_site_fract_x
_atom_site_fract_y
_atom_site_fract_z
Ho1 0.1522 0.2500 0.2347
Ho2 0.8478 0.7500 0.7653
Be1 0.2719 0.7500 0.5398
Be2 0.7281 0.2500 0.4602
N1 0.2441 0.2500 0.8564
N2 0.7559 0.7500 0.1436
F1 0.0935 0.7500 0.6332
F2 0.1486 0.0574 0.9454
F3 0.1486 0.4426 0.9454
F4 0.2505 0.5417 0.4061
F5 0.2505 0.9583 0.4061
F6 0.5002 0.2500 0.2972
F7 0.4998 0.7500 0.7028
F8 0.7495 0.0417 0.5939
F9 0.7495 0.4583 0.5939
F10 0.8514 0.5574 0.0546
F11 0.8514 0.9426 0.0546
F12 0.9065 0.2500 0.3668
```

Top 8 peaks for 5° ≤ 2θ ≤ 70°, low angle first:
two_theta, Rel. int.
14.4, 43
15.6, 60
19.6, 100
20.7, 48
27.0, 29
29.0, 30
39.8, 24
47.3, 25


For K2BeF4, DFT lattice parameters and positions (GGA-PBE) gives the calculated powder diffraction line list in this record (Cu Kα (weighted mean of Kα1 and Kα2)).
Intensities are scaled so that the largest is 100.

Structure:
```
data_K2BeF4
_cell_length_a 7.4039
_cell_length_b 5.7815
_cell_length_c 10.0665
_cell_angle_alpha 90.00
_cell_angle_beta 90.00
_cell_angle_gamma 90.00
_symmetry_space_group_name_H-M 'P 1'
_symmetry_Int_Tables_number 1
_symmetry_space_group_name_Hall 'P 1'
loop_
_atom_site_label
_atom_site_fract_x
_atom_site_fract_y
_atom_site_fract_z
K1 0.0091 0.2500 0.1934
K2 0.1602 0.7500 0.4121
K3 0.3398 0.2500 0.9121
K4 0.4909 0.7500 0.6934
K5 0.5091 0.2500 0.3066
K6 0.6602 0.7500 0.0879
K7 0.8398 0.2500 0.5879
K8 0.9909 0.7500 0.8066
Be1 0.2315 0.7500 0.0808
Be2 0.2685 0.2500 0.5808
Be3 0.7315 0.7500 0.4192
Be4 0.7685 0.2500 0.9192
F1 0.0215 0.7500 0.0804
F2 0.1891 0.2500 0.4351
F3 0.1966 0.0294 0.6544
F4 0.1966 0.4706 0.6544
F5 0.3034 0.5294 0.1544
F6 0.3034 0.9706 0.1544
F7 0.3109 0.7500 0.9351
F8 0.4785 0.2500 0.5804
F9 0.5215 0.7500 0.4196
F10 0.6891 0.2500 0.0649
F11 0.6966 0.0294 0.8456
F12 0.6966 0.4706 0.8456
F13 0.8034 0.5294 0.3456
F14 0.8034 0.9706 0.3456
F15 0.8109 0.7500 0.5649
F16 0.9785 0.2500 0.9196
```

Top 8 peaks for 5° ≤ 2θ ≤ 70°, low angle first:
two_theta, Rel. int.
30.0, 82
30.8, 90
30.9, 76
37.5, 100
37.8, 44
37.9, 93
40.6, 42
41.0, 39


For K2BeF4, DFT lattice parameters and positions (GGA-PBE) gives the calculated powder diffraction line list in this record (Cu Kα (weighted mean of Kα1 and Kα2)).
Intensities are scaled so that the largest is 100.

Structure:
```
data_K2BeF4
_cell_length_a 7.4010
_cell_length_b 10.0531
_cell_length_c 5.7820
_cell_angle_alpha 90.00
_cell_angle_beta 90.00
_cell_angle_gamma 90.00
_symmetry_space_group_name_H-M 'P 1'
_symmetry_Int_Tables_number 1
_symmetry_space_group_name_Hall 'P 1'
loop_
_atom_site_label
_atom_site_fract_x
_atom_site_fract_y
_atom_site_fract_z
K1 0.0033 0.1948 0.0000
K2 0.1600 0.4129 0.4885
K3 0.3400 0.9129 0.9885
K4 0.4967 0.6948 0.5000
K5 0.5033 0.3052 0.0000
K6 0.6600 0.0871 0.4885
K7 0.8400 0.5871 0.9885
K8 0.9967 0.8052 0.5000
Be1 0.2288 0.0832 0.4903
Be2 0.2712 0.5832 0.9903
Be3 0.7288 0.4168 0.4903
Be4 0.7712 0.9168 0.9903
F1 0.0206 0.0800 0.4695
F2 0.1860 0.4388 0.9923
F3 0.1916 0.6586 0.7760
F4 0.2096 0.6549 0.2184
F5 0.2904 0.1549 0.7184
F6 0.3084 0.1586 0.2760
F7 0.3140 0.9388 0.4923
F8 0.4794 0.5800 0.9695
F9 0.5206 0.4200 0.4695
F10 0.6860 0.0612 0.9923
F11 0.6916 0.8414 0.7760
F12 0.7096 0.8451 0.2184
F13 0.7904 0.3451 0.7184
F14 0.8084 0.3414 0.2760
F15 0.8140 0.5612 0.4923
F16 0.9794 0.9200 0.9695
```

Top 8 peaks for 5° ≤ 2θ ≤ 70°, low angle first:
two_theta, Rel. int.
30.0, 51
30.9, 100
37.5, 58
37.8, 27
37.9, 56
39.5, 22
41.0, 23
43.6, 27


For KLuBeF6, DFT lattice parameters and positions (GGA-PBE) gives the calculated powder diffraction line list in this record (Cu Kα (weighted mean of Kα1 and Kα2)).
Intensities are scaled so that the largest is 100.

Structure:
```
data_KLuBeF6
_cell_length_a 6.3918
_cell_length_b 5.7318
_cell_length_c 7.0050
_cell_angle_alpha 90.00
_cell_angle_beta 113.12
_cell_angle_gamma 90.00
_symmetry_space_group_name_H-M 'P 1'
_symmetry_Int_Tables_number 1
_symmetry_space_group_name_Hall 'P 1'
loop_
_atom_site_label
_atom_site_fract_x
_atom_site_fract_y
_atom_site_fract_z
K1 0.0711 0.2500 0.2032
K2 0.9289 0.7500 0.7968
Lu1 0.3905 0.2500 0.8217
Lu2 0.6095 0.7500 0.1783
Be1 0.2339 0.7500 0.4644
Be2 0.7661 0.2500 0.5356
F1 0.0096 0.7500 0.2617
F2 0.2350 0.5308 0.5985
F3 0.2350 0.9692 0.5985
F4 0.3250 0.5011 0.0340
F5 0.3250 0.9989 0.0340
F6 0.4418 0.7500 0.4048
F7 0.5582 0.2500 0.5952
F8 0.6750 0.0011 0.9660
F9 0.6750 0.4989 0.9660
F10 0.7650 0.0308 0.4015
F11 0.7650 0.4692 0.4015
F12 0.9904 0.2500 0.7383
```

Top 8 peaks for 5° ≤ 2θ ≤ 70°, low angle first:
two_theta, Rel. int.
15.1, 56
15.9, 90
20.7, 98
21.7, 45
28.0, 41
28.8, 100
30.2, 77
31.2, 28


For K3NaBe2F8, DFT lattice parameters and positions (GGA-PBE) gives the calculated powder diffraction line list in this record (Cu Kα (weighted mean of Kα1 and Kα2)).
Intensities are scaled so that the largest is 100.

Structure:
```
data_K3NaBe2F8
_cell_length_a 5.6762
_cell_length_b 5.6762
_cell_length_c 7.3639
_cell_angle_alpha 90.00
_cell_angle_beta 90.00
_cell_angle_gamma 120.00
_symmetry_space_group_name_H-M 'P 1'
_symmetry_Int_Tables_number 1
_symmetry_space_group_name_Hall 'P 1'
loop_
_atom_site_label
_atom_site_fract_x
_atom_site_fract_y
_atom_site_fract_z
K1 0.0000 0.0000 0.0000
K2 0.3333 0.6667 0.6769
K3 0.6667 0.3333 0.3231
Na1 0.0000 0.0000 0.5000
Be1 0.3333 0.6667 0.2312
Be2 0.6667 0.3333 0.7688
F1 0.1836 0.3671 0.3104
F2 0.1836 0.8164 0.3104
F3 0.3333 0.6667 0.0246
F4 0.3671 0.1836 0.6896
F5 0.6329 0.8164 0.3104
F6 0.6667 0.3333 0.9754
F7 0.8164 0.1836 0.6896
F8 0.8164 0.6329 0.6896
```

Top 8 peaks for 5° ≤ 2θ ≤ 70°, low angle first:
two_theta, Rel. int.
30.3, 57
31.5, 100
36.6, 53
38.6, 83
44.3, 85
49.1, 20
63.1, 21
65.8, 29


For Li2BeF4, DFT lattice parameters and positions (GGA-PBE) gives the calculated powder diffraction line list in this record (Cu Kα (weighted mean of Kα1 and Kα2)).
Intensities are scaled so that the largest is 100.

Structure:
```
data_Li2BeF4
_cell_length_a 8.3745
_cell_length_b 8.3745
_cell_length_c 8.3745
_cell_angle_alpha 107.78
_cell_angle_beta 107.78
_cell_angle_gamma 107.78
_symmetry_space_group_name_H-M 'P 1'
_symmetry_Int_Tables_number 1
_symmetry_space_group_name_Hall 'P 1'
loop_
_atom_site_label
_atom_site_fract_x
_atom_site_fract_y
_atom_site_fract_z
Li1 0.0997 0.2770 0.8778
Li2 0.1222 0.9003 0.7230
Li3 0.2044 0.4390 0.6124
Li4 0.2770 0.8778 0.0997
Li5 0.3876 0.7956 0.5610
Li6 0.4390 0.6124 0.2044
Li7 0.5610 0.3876 0.7956
Li8 0.6124 0.2044 0.4390
Li9 0.7230 0.1222 0.9003
Li10 0.7956 0.5610 0.3876
Li11 0.8778 0.0997 0.2770
Li12 0.9003 0.7230 0.1222
Be1 0.0531 0.4599 0.2351
Be2 0.2351 0.0531 0.4599
Be3 0.4599 0.2351 0.0531
Be4 0.5401 0.7649 0.9469
Be5 0.7649 0.9469 0.5401
Be6 0.9469 0.5401 0.7649
F1 0.0246 0.6920 0.9692
F2 0.0308 0.9754 0.3080
F3 0.0358 0.3565 0.3620
F4 0.0670 0.4289 0.7558
F5 0.2442 0.9330 0.5711
F6 0.2641 0.5994 0.3112
F7 0.3080 0.0308 0.9754
F8 0.3112 0.2641 0.5994
F9 0.3565 0.3620 0.0358
F10 0.3620 0.0358 0.3565
F11 0.4006 0.6888 0.7359
F12 0.4289 0.7558 0.0670
F13 0.5711 0.2442 0.9330
F14 0.5994 0.3112 0.2641
F15 0.6380 0.9642 0.6435
F16 0.6435 0.6380 0.9642
F17 0.6888 0.7359 0.4006
F18 0.6920 0.9692 0.0246
F19 0.7359 0.4006 0.6888
F20 0.7558 0.0670 0.4289
F21 0.9330 0.5711 0.2442
F22 0.9642 0.6435 0.6380
F23 0.9692 0.0246 0.6920
F24 0.9754 0.3080 0.0308
```

Top 8 peaks for 5° ≤ 2θ ≤ 70°, low angle first:
two_theta, Rel. int.
13.1, 25
22.3, 26
26.3, 55
32.5, 32
35.1, 23
37.7, 100
40.0, 100
67.9, 25